No. 1
This entry pairs a crystal structure of Nd3Mg2Cu3 with its computed XRD peak list. Radiation: Cu Kα. Structure: a structure optimized by DFT (GGA-PBE).

Cell and atoms:
Unit cell a=10.759 b=10.759 c=10.759 alpha=161.47 beta=152.09 gamma=33.71
Sites, in units of the cell vectors:
Nd: 0.000 0.000 0.000
Nd: 0.378 0.878 0.500
Nd: 0.622 0.122 0.500
Mg: 0.229 0.229 0.000
Mg: 0.771 0.771 0.000
Cu: 0.124 0.624 0.500
Cu: 0.500 0.500 0.000
Cu: 0.876 0.376 0.500

Principal peaks in the range 2θ = 5–70°, by intensity:
| 2θ (°) | I_rel |
| --- | --- |
| 35.7 | 100 |
| 8.6 | 41 |
| 34.6 | 27 |
| 34.9 | 24 |
| 62.7 | 18 |
| 49.9 | 17 |
| 63.1 | 15 |
| 27.7 | 10 |
| 17.2 | 9 |
| 21.5 | 9 |
| 26.1 | 8 |
| 64.7 | 8 |


No. 2
This entry pairs a crystal structure of NdMgCu17 with its computed XRD peak list. Radiation: Cu Kα. Structure: a structure optimized by DFT (GGA-PBE).

Cell and atoms:
Unit cell a=6.444 b=6.444 c=6.444 alpha=82.84 beta=82.84 gamma=82.84
Sites, in units of the cell vectors:
Nd: 0.000 0.000 0.000
Mg: 0.682 0.682 0.682
Cu: 0.042 0.345 0.637
Cu: 0.042 0.637 0.345
Cu: 0.196 0.684 0.684
Cu: 0.248 0.248 0.248
Cu: 0.338 0.338 0.843
Cu: 0.338 0.843 0.338
Cu: 0.345 0.042 0.637
Cu: 0.345 0.637 0.042
Cu: 0.444 0.444 0.444
Cu: 0.501 0.992 0.992
Cu: 0.637 0.042 0.345
Cu: 0.637 0.345 0.042
Cu: 0.684 0.196 0.684
Cu: 0.684 0.684 0.196
Cu: 0.843 0.338 0.338
Cu: 0.992 0.501 0.992
Cu: 0.992 0.992 0.501

Principal peaks in the range 2θ = 5–70°, by intensity:
| 2θ (°) | I_rel |
| --- | --- |
| 42.7 | 100 |
| 48.0 | 62 |
| 42.4 | 60 |
| 43.5 | 47 |
| 36.5 | 34 |
| 37.8 | 28 |
| 13.9 | 21 |
| 62.4 | 21 |
| 43.8 | 20 |
| 48.7 | 16 |
| 70.0 | 16 |
| 61.7 | 12 |